[1]
Diffraction record for VFe3Rh3. The powder diffractogram is simulated, not measured: it uses a cell relaxed with GGA-PBE and Cu Kα X-rays.

Most intense lines, 2θ from 10° to 80°, in order of rising 2θ:
2θ/deg, d/Å, Rel. int.
30.03, 2.975, 17
33.62, 2.666, 9
33.74, 2.657, 9
36.10, 2.488, 25
39.25, 2.295, 13
42.90, 2.108, 26
43.09, 2.099, 25
44.98, 2.015, 100
45.74, 1.983, 11
62.43, 1.488, 10
68.51, 1.370, 9
72.27, 1.307, 9

Cell and atoms:
a = 5.9505 Å, b = 5.9505 Å, c = 5.4786 Å
α = 90.00°, β = 90.00°, γ = 90.25°
Atoms (fractional coordinates):
V 0.2479 0.2479 0.0000
V 0.7521 0.7521 0.0000
Fe 0.1549 0.1549 0.5000
Fe 0.1630 0.8370 0.0000
Fe 0.2474 0.7526 0.5000
Fe 0.7526 0.2474 0.5000
Fe 0.8370 0.1630 0.0000
Fe 0.8451 0.8451 0.5000
Rh 0.0000 0.5000 0.2513
Rh 0.0000 0.5000 0.7487
Rh 0.5000 0.0000 0.2513
Rh 0.5000 0.0000 0.7487
Rh 0.5000 0.5000 0.2494
Rh 0.5000 0.5000 0.7506

[2]
Diffraction record for La8Zn2Cu. The powder diffractogram is simulated, not measured: it uses a cell relaxed with GGA-PBE and Cu Kα X-rays.

Most intense lines, 2θ from 10° to 80°, in order of rising 2θ:
2θ/deg, d/Å, Rel. int.
27.64, 3.227, 72
29.20, 3.058, 24
29.78, 3.000, 84
30.15, 2.964, 87
30.72, 2.910, 83
31.90, 2.806, 34
32.67, 2.741, 81
34.13, 2.627, 100
34.96, 2.566, 32
35.91, 2.500, 39
45.55, 1.991, 24
62.76, 1.481, 28

Cell and atoms:
a = 9.7550 Å, b = 9.7550 Å, c = 6.9989 Å
α = 102.99°, β = 102.99°, γ = 31.24°
Atoms (fractional coordinates):
La 0.0226 0.0226 0.2796
La 0.2018 0.2018 0.8066
La 0.3391 0.3391 0.5349
La 0.4104 0.4104 0.0491
La 0.5896 0.5896 0.9509
La 0.6609 0.6609 0.4651
La 0.7982 0.7982 0.1934
La 0.9774 0.9774 0.7204
Zn 0.1864 0.1864 0.2330
Zn 0.8136 0.8136 0.7670
Cu 0.5000 0.5000 0.5000

[3]
Diffraction record for LaSmEr2Th. The powder diffractogram is simulated, not measured: it uses a cell relaxed with GGA-PBE and Cu Kα X-rays.

Most intense lines, 2θ from 10° to 80°, in order of rising 2θ:
2θ/deg, d/Å, Rel. int.
15.61, 5.678, 16
20.33, 4.369, 11
25.73, 3.463, 11
30.69, 2.913, 13
31.54, 2.837, 100
32.61, 2.746, 15
34.61, 2.592, 20
36.34, 2.472, 20
45.98, 1.974, 12
51.79, 1.765, 11
56.14, 1.638, 15
61.41, 1.510, 19

Cell and atoms:
a = 3.5303 Å, b = 5.6781 Å, c = 8.7384 Å
α = 90.00°, β = 90.00°, γ = 90.00°
Atoms (fractional coordinates):
La 0.0000 0.0000 0.0000
Sm 0.5000 0.0000 0.5000
Er 0.0000 0.5000 0.3206
Er 0.0000 0.5000 0.6794
Th 0.5000 0.5000 0.0000

[4]
Diffraction record for Yb3DySb3. The powder diffractogram is simulated, not measured: it uses a cell relaxed with GGA-PBE and Cu Kα X-rays.

Most intense lines, 2θ from 10° to 80°, in order of rising 2θ:
2θ/deg, d/Å, Rel. int.
30.27, 2.953, 100
30.37, 2.943, 19
35.93, 2.500, 42
36.06, 2.491, 27
36.14, 2.485, 14
47.63, 1.909, 12
47.86, 1.901, 12
49.77, 1.832, 11
49.88, 1.828, 9
61.15, 1.516, 10
61.34, 1.511, 8
62.99, 1.476, 10

Cell and atoms:
a = 8.0602 Å, b = 8.0602 Å, c = 8.1019 Å
α = 109.47°, β = 109.47°, γ = 109.22°
Atoms (fractional coordinates):
Yb 0.0002 0.9998 0.0000
Yb 0.9998 0.0002 0.5000
Yb 0.1486 0.6511 0.7915
Yb 0.5045 0.8604 0.6515
Yb 0.6511 0.1486 0.2915
Yb 0.8604 0.5045 0.1515
Dy 0.3575 0.5037 0.1482
Dy 0.5037 0.3575 0.6482
Sb 0.1342 0.3775 0.3976
Sb 0.2581 0.8804 0.2757
Sb 0.3775 0.1342 0.8976
Sb 0.6238 0.7462 0.0203
Sb 0.7462 0.6238 0.5203
Sb 0.8804 0.2581 0.7757

[5]
Diffraction record for PmNd6Pd3. The powder diffractogram is simulated, not measured: it uses a cell relaxed with GGA-PBE and Cu Kα X-rays.

Most intense lines, 2θ from 10° to 80°, in order of rising 2θ:
2θ/deg, d/Å, Rel. int.
26.30, 3.388, 27
27.50, 3.244, 28
28.41, 3.141, 34
29.01, 3.078, 60
29.97, 2.982, 75
31.39, 2.849, 58
32.37, 2.766, 57
32.76, 2.734, 96
33.77, 2.654, 100
38.90, 2.315, 38
54.18, 1.693, 26
55.21, 1.664, 24

Cell and atoms:
a = 9.0211 Å, b = 9.0211 Å, c = 7.3915 Å
α = 90.00°, β = 90.00°, γ = 97.27°
Atoms (fractional coordinates):
Pm 0.1754 0.8246 0.5000
Pm 0.8246 0.1754 0.0000
Nd 0.0793 0.4697 0.7138
Nd 0.1293 0.2134 0.3690
Nd 0.2134 0.1293 0.8690
Nd 0.2668 0.7332 0.0212
Nd 0.4627 0.5373 0.3813
Nd 0.4697 0.0793 0.2138
Nd 0.5303 0.9207 0.7138
Nd 0.5373 0.4627 0.8813
Nd 0.7332 0.2668 0.5212
Nd 0.7866 0.8707 0.3690
Nd 0.8707 0.7866 0.8690
Nd 0.9207 0.5303 0.2138
Pd 0.0682 0.9318 0.1634
Pd 0.2231 0.4116 0.0798
Pd 0.4116 0.2231 0.5798
Pd 0.5884 0.7769 0.0798
Pd 0.7769 0.5884 0.5798
Pd 0.9318 0.0682 0.6634

[6]
Diffraction record for NaPaSn. The powder diffractogram is simulated, not measured: it uses a cell relaxed with GGA-PBE and Cu Kα X-rays.

Most intense lines, 2θ from 10° to 80°, in order of rising 2θ:
2θ/deg, d/Å, Rel. int.
12.50, 7.079, 100
19.44, 4.566, 28
24.93, 3.572, 64
32.71, 2.738, 44
33.31, 2.689, 76
37.28, 2.412, 50
39.47, 2.283, 38
39.62, 2.275, 38
54.39, 1.687, 24
60.50, 1.530, 28
65.41, 1.427, 18
72.77, 1.300, 17

Cell and atoms:
a = 8.1993 Å, b = 7.6766 Å, c = 5.0915 Å
α = 76.97°, β = 65.80°, γ = 37.23°
Atoms (fractional coordinates):
Na 0.1682 0.8318 0.1682
Na 0.8318 0.1682 0.8318
Pa 0.2500 0.2500 0.2500
Pa 0.7500 0.7500 0.7500
Sn 0.3850 0.3850 0.6150
Sn 0.6150 0.6150 0.3850